# 1
Computed powder diffraction line list
Compound: Fe2O3F
Radiation: λ = 1.5418 Å (Cu Kα)
Structure: a cell relaxed with GGA+U
Peak positions follow from Bragg's law for the DFT cell and can differ from measured ones.

Cell and atoms:
Unit cell a=9.8447 b=9.8447 c=4.6880 alpha=93.89 beta=93.89 gamma=35.53
Fractional coordinates of all 24 atoms:
Fe1 0.0000 0.0000 0.0000
Fe2 0.1195 0.6295 0.4995
Fe3 0.2588 0.2588 0.9655
Fe4 0.3705 0.8805 0.5005
Fe5 0.5000 0.5000 0.0000
Fe6 0.6295 0.1195 0.4995
Fe7 0.7412 0.7412 0.0345
Fe8 0.8805 0.3705 0.5005
O1 0.0481 0.5485 0.1926
O2 0.0803 0.0803 0.6792
O3 0.2020 0.7012 0.8062
O4 0.2988 0.7980 0.1938
O5 0.3313 0.3313 0.6781
O6 0.4515 0.9519 0.8074
O7 0.5485 0.0481 0.1926
O8 0.6687 0.6687 0.3219
O9 0.7012 0.2020 0.8062
O10 0.7980 0.2988 0.1938
O11 0.9197 0.9197 0.3208
O12 0.9519 0.4515 0.8074
F1 0.1764 0.1764 0.2976
F2 0.4254 0.4254 0.3000
F3 0.5746 0.5746 0.7000
F4 0.8236 0.8236 0.7024

The 10 most intense peaks (10° ≤ 2θ ≤ 90°), in order of rising 2θ:
25.97 deg, I = 100
27.93 deg, I = 92
35.52 deg, I = 97
38.51 deg, I = 19
39.89 deg, I = 15
52.27 deg, I = 59
53.41 deg, I = 16
54.48 deg, I = 52
61.77 deg, I = 16
67.73 deg, I = 38

# 2
Computed powder diffraction line list
Compound: Fe6O5F7
Radiation: λ = 1.5418 Å (Cu Kα)
Structure: a cell relaxed with GGA+U
Peak positions follow from Bragg's law for the DFT cell and can differ from measured ones.

Cell and atoms:
Unit cell a=5.7238 b=5.7300 c=7.5888 alpha=70.58 beta=70.45 gamma=70.34
Fractional coordinates of all 18 atoms:
Fe1 0.0000 0.0000 0.0000
Fe2 0.0107 0.9489 0.4848
Fe3 0.3073 0.3034 0.6672
Fe4 0.3325 0.2594 0.1614
Fe5 0.6354 0.6480 0.3292
Fe6 0.6546 0.6496 0.8283
O1 0.1044 0.0681 0.1926
O2 0.3120 0.6400 0.5008
O3 0.3585 0.9423 0.8252
O4 0.6424 0.9878 0.1604
O5 0.9519 0.3473 0.8262
F1 0.0262 0.5886 0.1676
F2 0.2390 0.2066 0.4531
F3 0.4262 0.4072 0.8714
F4 0.5532 0.5280 0.1264
F5 0.6936 0.2681 0.4959
F6 0.7493 0.7227 0.5334
F7 0.8875 0.8671 0.7954

The 10 most intense peaks (10° ≤ 2θ ≤ 90°), in order of rising 2θ:
25.66 deg, I = 100
27.03 deg, I = 94
34.28 deg, I = 52
34.42 deg, I = 27
34.48 deg, I = 25
50.90 deg, I = 31
51.23 deg, I = 17
52.62 deg, I = 28
52.74 deg, I = 32
65.91 deg, I = 17

# 3
Computed powder diffraction line list
Compound: Fe6O7F5
Radiation: λ = 1.5418 Å (Cu Kα)
Structure: a cell relaxed with GGA+U
Peak positions follow from Bragg's law for the DFT cell and can differ from measured ones.

Cell and atoms:
Unit cell a=4.6610 b=5.5879 c=7.8105 alpha=86.23 beta=89.23 gamma=89.37
Fractional coordinates of all 18 atoms:
Fe1 0.0000 0.0000 0.0000
Fe2 0.0020 0.3387 0.6731
Fe3 0.0266 0.6715 0.3748
Fe4 0.4941 0.5077 0.0376
Fe5 0.5153 0.8379 0.6874
Fe6 0.5559 0.1798 0.3407
O1 0.2152 0.6355 0.5973
O2 0.3190 0.4666 0.2577
O3 0.3254 0.8001 0.9198
O4 0.7073 0.8816 0.4566
O5 0.7152 0.2085 0.1103
O6 0.8177 0.3836 0.4572
O7 0.8185 0.0430 0.7788
F1 0.2088 0.9705 0.2470
F2 0.2203 0.2995 0.9068
F3 0.3176 0.1392 0.5783
F4 0.7237 0.5404 0.8028
F5 0.8264 0.7061 0.1259

The 10 most intense peaks (10° ≤ 2θ ≤ 90°), in order of rising 2θ:
26.77 deg, I = 100
27.22 deg, I = 99
34.53 deg, I = 25
34.69 deg, I = 28
34.86 deg, I = 54
52.86 deg, I = 44
53.16 deg, I = 29
55.16 deg, I = 17
66.85 deg, I = 21
67.52 deg, I = 21

# 4
Computed powder diffraction line list
Compound: Fe6O7F5
Radiation: λ = 1.5418 Å (Cu Kα)
Structure: a cell relaxed with GGA+U
Peak positions follow from Bragg's law for the DFT cell and can differ from measured ones.

Cell and atoms:
Unit cell a=5.6216 b=5.6225 c=7.3442 alpha=71.60 beta=71.68 gamma=71.51
Fractional coordinates of all 18 atoms:
Fe1 0.0000 0.0000 0.0000
Fe2 0.0071 0.0099 0.5049
Fe3 0.3011 0.3662 0.6634
Fe4 0.3445 0.3548 0.1619
Fe5 0.6570 0.6459 0.8266
Fe6 0.7210 0.6590 0.3585
O1 0.0024 0.3569 0.3392
O2 0.0098 0.6586 0.6630
O3 0.0965 0.1101 0.7113
O4 0.3031 0.7035 0.9987
O5 0.5508 0.5654 0.6311
O6 0.7001 0.2987 0.0048
O7 0.9224 0.9114 0.2913
F1 0.2395 0.2363 0.9653
F2 0.3912 0.9705 0.3317
F3 0.4552 0.4403 0.3663
F4 0.6218 0.0432 0.6683
F5 0.7662 0.7617 0.0468

The 10 most intense peaks (10° ≤ 2θ ≤ 90°), in order of rising 2θ:
26.64 deg, I = 100
27.15 deg, I = 99
34.79 deg, I = 54
34.97 deg, I = 54
52.37 deg, I = 27
52.74 deg, I = 31
53.07 deg, I = 27
60.15 deg, I = 19
67.19 deg, I = 20
67.35 deg, I = 20

# 5
Computed powder diffraction line list
Compound: Fe6OF11
Radiation: λ = 1.5418 Å (Cu Kα)
Structure: a cell relaxed with GGA+U
Peak positions follow from Bragg's law for the DFT cell and can differ from measured ones.

Cell and atoms:
Unit cell a=9.6933 b=4.8375 c=4.8375 alpha=90.46 beta=90.00 gamma=90.00
Fractional coordinates of all 18 atoms:
Fe1 0.0000 0.0000 0.0000
Fe2 0.1514 0.5288 0.5288
Fe3 0.3318 0.0230 0.0230
Fe4 0.5000 0.5195 0.5195
Fe5 0.6682 0.0230 0.0230
Fe6 0.8486 0.5288 0.5288
O1 0.0000 0.7136 0.7136
F1 0.0000 0.3052 0.3052
F2 0.1698 0.2256 0.8123
F3 0.1698 0.8123 0.2256
F4 0.3256 0.3259 0.3259
F5 0.3278 0.7185 0.7185
F6 0.5000 0.2229 0.8194
F7 0.5000 0.8194 0.2229
F8 0.6722 0.7185 0.7185
F9 0.6744 0.3259 0.3259
F10 0.8302 0.2256 0.8123
F11 0.8302 0.8123 0.2256

The 10 most intense peaks (10° ≤ 2θ ≤ 90°), in order of rising 2θ:
25.94 deg, I = 87
26.16 deg, I = 88
33.35 deg, I = 100
38.25 deg, I = 20
38.40 deg, I = 18
50.67 deg, I = 59
50.91 deg, I = 57
53.35 deg, I = 20
57.00 deg, I = 18
64.60 deg, I = 41

# 6
Computed powder diffraction line list
Compound: Fe2O3F
Radiation: λ = 1.5418 Å (Cu Kα)
Structure: a cell relaxed with GGA+U
Peak positions follow from Bragg's law for the DFT cell and can differ from measured ones.

Cell and atoms:
Unit cell a=7.0612 b=7.0612 c=6.8994 alpha=90.00 beta=90.00 gamma=129.70
Fractional coordinates of all 24 atoms:
Fe1 0.1250 0.3750 0.7500
Fe2 0.1249 0.8751 0.7853
Fe3 0.3750 0.1250 0.2500
Fe4 0.3751 0.6249 0.2853
Fe5 0.6249 0.3751 0.7147
Fe6 0.6250 0.8750 0.7500
Fe7 0.8751 0.1249 0.2147
Fe8 0.8750 0.6250 0.2500
O1 0.0287 0.4713 0.2500
O2 0.1241 0.8759 0.0719
O3 0.2214 0.2786 0.2500
O4 0.2786 0.2214 0.7500
O5 0.3759 0.6241 0.5719
O6 0.4713 0.0287 0.7500
O7 0.5287 0.9713 0.2500
O8 0.6241 0.3759 0.4281
O9 0.7214 0.7786 0.2500
O10 0.7786 0.7214 0.7500
O11 0.8759 0.1241 0.9281
O12 0.9713 0.5287 0.7500
F1 0.1259 0.8741 0.4513
F2 0.3741 0.6259 0.9513
F3 0.6259 0.3741 0.0487
F4 0.8741 0.1259 0.5487

The 10 most intense peaks (10° ≤ 2θ ≤ 90°), in order of rising 2θ:
25.83 deg, I = 100
27.92 deg, I = 95
35.52 deg, I = 99
38.40 deg, I = 18
39.81 deg, I = 17
52.11 deg, I = 56
54.47 deg, I = 53
57.69 deg, I = 15
61.84 deg, I = 18
67.58 deg, I = 37

# 7
Computed powder diffraction line list
Compound: Fe6O5F7
Radiation: λ = 1.5418 Å (Cu Kα)
Structure: a cell relaxed with GGA+U
Peak positions follow from Bragg's law for the DFT cell and can differ from measured ones.

Cell and atoms:
Unit cell a=4.7782 b=5.6961 c=7.8253 alpha=85.46 beta=88.27 gamma=87.89
Fractional coordinates of all 18 atoms:
Fe1 0.0000 0.0000 0.0000
Fe2 0.0069 0.3749 0.6740
Fe3 0.4447 0.5293 0.9955
Fe4 0.4692 0.8493 0.6669
Fe5 0.4995 0.1835 0.3308
Fe6 0.9506 0.7105 0.3329
O1 0.1757 0.0679 0.7688
O2 0.1770 0.7176 0.1105
O3 0.2873 0.5665 0.7713
O4 0.7853 0.6494 0.5647
O5 0.7992 0.9908 0.2198
F1 0.1780 0.3881 0.4308
F2 0.2817 0.8832 0.4382
F3 0.2851 0.2252 0.0915
F4 0.6771 0.4965 0.2186
F5 0.6766 0.8166 0.8994
F6 0.6790 0.1485 0.5760
F7 0.7777 0.3239 0.9052

The 10 most intense peaks (10° ≤ 2θ ≤ 90°), in order of rising 2θ:
25.80 deg, I = 96
27.03 deg, I = 92
34.48 deg, I = 100
39.03 deg, I = 18
51.31 deg, I = 46
52.64 deg, I = 25
52.78 deg, I = 27
53.03 deg, I = 18
59.60 deg, I = 18
66.04 deg, I = 41

# 8
Computed powder diffraction line list
Compound: Fe6O5F7
Radiation: λ = 1.5418 Å (Cu Kα)
Structure: a cell relaxed with GGA+U
Peak positions follow from Bragg's law for the DFT cell and can differ from measured ones.

Cell and atoms:
Unit cell a=5.7000 b=5.7000 c=7.7032 alpha=110.54 beta=110.54 gamma=69.28
Fractional coordinates of all 18 atoms:
Fe1 0.0000 0.0000 0.0000
Fe2 0.2911 0.3606 0.8273
Fe3 0.3021 0.3617 0.3309
Fe4 0.6383 0.6979 0.6691
Fe5 0.6394 0.7089 0.1727
Fe6 0.9741 0.0259 0.5000
O1 0.0059 0.6596 0.3311
O2 0.3060 0.6940 0.0000
O3 0.3404 0.9941 0.6689
O4 0.6058 0.0654 0.3342
O5 0.9346 0.3942 0.6658
F1 0.0798 0.1328 0.3054
F2 0.2169 0.2616 0.0383
F3 0.4097 0.4612 0.6273
F4 0.5388 0.5903 0.3727
F5 0.6848 0.3152 0.0000
F6 0.7384 0.7831 0.9617
F7 0.8672 0.9202 0.6946

The 10 most intense peaks (10° ≤ 2θ ≤ 90°), in order of rising 2θ:
25.23 deg, I = 100
27.53 deg, I = 89
34.62 deg, I = 100
37.69 deg, I = 16
38.76 deg, I = 17
50.79 deg, I = 68
51.80 deg, I = 21
53.38 deg, I = 49
59.96 deg, I = 17
66.07 deg, I = 51